Computed X-ray diffraction stick pattern
Compound: BaInAu3
Radiation: λ = 1.5418 Å (Cu Kα)
Structure: a GGA-PBE-relaxed structure
Lines closer than 0.1° are merged.

The 10 most intense peaks (2θ from 10° to 90°), in order of rising 2θ:
(hkl)  two_theta  Rel. int.
0 0 1  16.7  25.3
0 2 1  29.0  51.2
2 0 1  29.2  50.1
0 0 2  33.8  100.0
2 2 2  48.5  47.8
0 2 3  57.4  21.7
4 2 1  57.8  13.6
0 4 2  60.1  12.1
4 0 2  60.6  11.7
2 2 4  81.0  20.8

Structure:
```
10
Lattice="7.465 0.000 0.000 0.000 7.550 0.000 0.000 0.000 5.313" Properties=species:S:1:pos:R:3 pbc="T T T"
Ba 0.000 0.000 0.000
Ba 3.732 3.775 0.000
In 0.000 3.775 2.656
In 3.732 0.000 2.656
Au 0.000 3.775 0.000
Au 1.741 1.764 2.656
Au 1.991 5.539 2.656
Au 3.732 0.000 0.000
Au 5.473 2.012 2.656
Au 5.724 5.787 2.656
```